Entry 1:
The following is a computed XRD peak list of Nd3HgPb2. It was derived from a crystal structure in Alexandria, relaxed with GGA-PBE, using a wavelength of 1.5418 Å.
Intensities are scaled so that the largest is 1000.

The 10 most intense peaks (10° ≤ 2θ ≤ 90°), by angle:
two_theta	Rel. int.
31.82	1000
34.10	416
42.03	118
49.00	160
55.19	216
59.56	167
59.67	170
66.50	122
70.41	104
80.69	71

```
data_Nd3HgPb2
_space_group_name_H-M_alt 'P 1'
_space_group_IT_number 1
_space_group_name_Hall 'P 1'
_cell_length_a 5.252
_cell_length_b 15.794
_cell_length_c 4.299
_cell_angle_alpha 90.00
_cell_angle_beta 90.00
_cell_angle_gamma 90.00
loop_
_atom_site_label
_atom_site_fract_x
_atom_site_fract_y
_atom_site_fract_z
Nd1 0.250 0.083 0.000
Nd2 0.250 0.417 0.000
Nd3 0.250 0.750 0.001
Nd4 0.750 0.250 0.999
Nd5 0.750 0.583 0.000
Nd6 0.750 0.917 0.000
Hg1 0.250 0.250 0.499
Hg2 0.750 0.750 0.501
Pb1 0.250 0.588 0.500
Pb2 0.250 0.912 0.500
Pb3 0.750 0.088 0.500
Pb4 0.750 0.412 0.500
```


Entry 2:
The following is a computed XRD peak list of PmNd2Hg2Pb2. It was derived from a crystal structure in Alexandria, relaxed with GGA-PBE, using a wavelength of 1.5418 Å.
Intensities are scaled so that the largest is 1000.

The 10 most intense peaks (10° ≤ 2θ ≤ 90°), by angle:
two_theta	Rel. int.
19.19	105
30.25	1000
35.07	798
40.29	103
46.98	302
50.44	147
59.96	301
62.92	226
74.12	189
82.10	150

```
data_PmNd2Hg2Pb2
_space_group_name_H-M_alt 'P 1'
_space_group_IT_number 1
_space_group_name_Hall 'P 1'
_cell_length_a 9.709
_cell_length_b 9.709
_cell_length_c 9.709
_cell_angle_alpha 30.56
_cell_angle_beta 30.56
_cell_angle_gamma 30.56
loop_
_atom_site_label
_atom_site_fract_x
_atom_site_fract_y
_atom_site_fract_z
Pm1 0.000 0.000 0.000
Nd1 0.131 0.131 0.131
Nd2 0.869 0.869 0.869
Hg1 0.432 0.432 0.432
Hg2 0.568 0.568 0.568
Pb1 0.274 0.274 0.274
Pb2 0.726 0.726 0.726
```


Entry 3:
The following is a computed XRD peak list of NdSnHgPb. It was derived from a crystal structure in Alexandria, relaxed with GGA-PBE, using a wavelength of 1.5418 Å.
Intensities are scaled so that the largest is 1000.

The 10 most intense peaks (10° ≤ 2θ ≤ 90°), by angle:
two_theta	Rel. int.
32.52	1000
37.07	177
37.23	175
38.85	156
53.55	125
54.79	117
63.96	148
64.17	146
66.38	132
68.11	123

```
data_NdSnHgPb
_space_group_name_H-M_alt 'P 1'
_space_group_IT_number 1
_space_group_name_Hall 'P 1'
_cell_length_a 4.636
_cell_length_b 4.830
_cell_length_c 4.850
_cell_angle_alpha 90.00
_cell_angle_beta 90.00
_cell_angle_gamma 90.00
loop_
_atom_site_label
_atom_site_fract_x
_atom_site_fract_y
_atom_site_fract_z
Nd1 0.000 0.000 0.000
Sn1 0.500 0.500 0.000
Hg1 0.000 0.500 0.500
Pb1 0.500 0.000 0.500
```


Entry 4:
The following is a computed XRD peak list of Nd2Tl2Hg4Pb. It was derived from a crystal structure in Alexandria, relaxed with GGA-PBE, using a wavelength of 1.5418 Å.
Intensities are scaled so that the largest is 1000.

The 10 most intense peaks (10° ≤ 2θ ≤ 90°), by angle:
two_theta	Rel. int.
24.21	190
29.74	1000
34.41	634
34.59	265
37.68	332
45.26	177
49.45	209
49.59	350
58.78	228
61.75	163

```
data_Nd2Tl2Hg4Pb
_space_group_name_H-M_alt 'P 1'
_space_group_IT_number 1
_space_group_name_Hall 'P 1'
_cell_length_a 7.353
_cell_length_b 7.353
_cell_length_c 7.353
_cell_angle_alpha 119.83
_cell_angle_beta 119.83
_cell_angle_gamma 90.30
loop_
_atom_site_label
_atom_site_fract_x
_atom_site_fract_y
_atom_site_fract_z
Nd1 0.199 0.199 0.000
Nd2 0.801 0.801 0.000
Tl1 0.250 0.750 0.500
Tl2 0.750 0.250 0.500
Hg1 0.225 0.225 0.449
Hg2 0.225 0.775 0.000
Hg3 0.775 0.225 0.000
Hg4 0.775 0.775 0.551
Pb1 0.500 0.500 0.000
```